[1]
# MgMoW2Se4S2
Theoretical X-ray diffraction stick pattern, Cu Kα, 1.54184 Å. Input: a structure optimized by DFT (PBE).
No peak broadening, texture or thermal motion is included.

Atomic structure:
Unit cell a=3.280 b=3.280 c=37.535 alpha=91.53 beta=91.53 gamma=59.98
Fractional coordinates of all 10 atoms:
Mg  0.000  0.000  0.000
Mo  0.666  0.666  0.877
W  0.989  0.989  0.125
W  0.998  0.998  0.652
Se  0.009  0.009  0.922
Se  0.656  0.656  0.606
Se  0.674  0.674  0.697
Se  0.990  0.990  0.832
S  0.648  0.648  0.084
S  0.664  0.664  0.166

Principal peaks in the range 5 to 70 degrees two-theta, by angle:
| two_theta | d [Å] | I (rel.) |
| --- | --- | --- |
| 9.43 | 9.379 | 100 |
| 11.79 | 7.503 | 13 |
| 14.16 | 6.253 | 7 |
| 31.52 | 2.839 | 15 |
| 32.81 | 2.729 | 4 |
| 34.49 | 2.601 | 4 |
| 34.90 | 2.571 | 6 |
| 36.02 | 2.493 | 5 |
| 39.50 | 2.281 | 6 |
| 41.05 | 2.199 | 6 |
| 41.70 | 2.166 | 7 |
| 56.11 | 1.639 | 9 |

=====

[2]
# MgMoW3Se6S2
Theoretical X-ray diffraction stick pattern, Cu Kα, 1.54184 Å. Input: a structure optimized by DFT (PBE).
No peak broadening, texture or thermal motion is included.

Atomic structure:
Unit cell a=3.287 b=3.287 c=37.865 alpha=90.00 beta=90.00 gamma=60.00
Fractional coordinates of all 13 atoms:
Mg  0.000  0.000  0.000
Mo  0.769  0.484  0.409
W  0.103  0.817  0.221
W  0.103  0.817  0.597
W  0.769  0.484  0.785
Se  0.103  0.817  0.364
Se  0.103  0.817  0.453
Se  0.103  0.817  0.740
Se  0.103  0.817  0.829
Se  0.769  0.484  0.176
Se  0.769  0.484  0.266
S  0.769  0.484  0.556
S  0.769  0.484  0.637

Principal peaks in the range 5 to 70 degrees two-theta, by angle:
| two_theta | d [Å] | I (rel.) |
| --- | --- | --- |
| 7.00 | 12.622 | 26 |
| 11.69 | 7.573 | 100 |
| 14.03 | 6.311 | 16 |
| 31.44 | 2.845 | 27 |
| 33.64 | 2.664 | 14 |
| 36.85 | 2.439 | 56 |
| 39.61 | 2.275 | 9 |
| 44.51 | 2.036 | 37 |
| 46.31 | 1.961 | 12 |
| 55.96 | 1.643 | 18 |
| 57.38 | 1.606 | 10 |
| 68.89 | 1.363 | 9 |

=====

[3]
# MgMoW2Se4S2
Theoretical X-ray diffraction stick pattern, Cu Kα, 1.54184 Å. Input: a structure optimized by DFT (PBE).
No peak broadening, texture or thermal motion is included.

Atomic structure:
Unit cell a=3.273 b=3.273 c=37.558 alpha=90.13 beta=90.13 gamma=60.01
Fractional coordinates of all 10 atoms:
Mg  0.000  0.000  0.000
Mo  0.333  0.333  0.123
W  0.334  0.334  0.653
W  0.667  0.667  0.875
Se  0.666  0.666  0.078
Se  0.667  0.667  0.168
Se  0.667  0.667  0.608
Se  0.668  0.668  0.698
S  0.333  0.333  0.835
S  0.335  0.335  0.917

Principal peaks in the range 5 to 70 degrees two-theta, by angle:
| two_theta | d [Å] | I (rel.) |
| --- | --- | --- |
| 9.42 | 9.389 | 100 |
| 11.78 | 7.511 | 23 |
| 31.58 | 2.833 | 13 |
| 33.01 | 2.714 | 11 |
| 34.74 | 2.582 | 13 |
| 35.83 | 2.506 | 13 |
| 39.82 | 2.264 | 10 |
| 41.39 | 2.182 | 17 |
| 44.78 | 2.024 | 6 |
| 48.49 | 1.877 | 6 |
| 56.21 | 1.636 | 11 |
| 57.13 | 1.612 | 7 |

=====

[4]
# MgMoW2Se4S2
Theoretical X-ray diffraction stick pattern, Cu Kα, 1.54184 Å. Input: a structure optimized by DFT (PBE).
No peak broadening, texture or thermal motion is included.

Atomic structure:
Unit cell a=3.271 b=3.271 c=38.139 alpha=90.00 beta=90.00 gamma=120.00
Fractional coordinates of all 10 atoms:
Mg  0.000  0.000  0.000
Mo  0.667  0.333  0.880
W  0.333  0.667  0.129
W  0.333  0.667  0.657
Se  0.333  0.667  0.835
Se  0.333  0.667  0.925
Se  0.667  0.333  0.084
Se  0.667  0.333  0.173
S  0.667  0.333  0.616
S  0.667  0.333  0.697

Principal peaks in the range 5 to 70 degrees two-theta, by angle:
| two_theta | d [Å] | I (rel.) |
| --- | --- | --- |
| 9.28 | 9.535 | 100 |
| 11.60 | 7.628 | 13 |
| 13.93 | 6.356 | 8 |
| 31.61 | 2.831 | 13 |
| 32.99 | 2.715 | 13 |
| 34.67 | 2.587 | 12 |
| 35.73 | 2.513 | 9 |
| 39.63 | 2.274 | 16 |
| 41.15 | 2.194 | 17 |
| 44.46 | 2.038 | 7 |
| 48.09 | 1.892 | 8 |
| 56.23 | 1.636 | 10 |

=====

[5]
# MgMoW3Se6S2
Theoretical X-ray diffraction stick pattern, Cu Kα, 1.54184 Å. Input: a structure optimized by DFT (PBE).
No peak broadening, texture or thermal motion is included.

Atomic structure:
Unit cell a=3.289 b=3.289 c=46.269 alpha=90.00 beta=90.00 gamma=120.00
Fractional coordinates of all 13 atoms:
Mg  0.000  0.000  0.000
Mo  0.667  0.333  0.723
W  0.333  0.667  0.534
W  0.333  0.667  0.902
W  0.667  0.333  0.106
Se  0.333  0.667  0.069
Se  0.333  0.667  0.143
Se  0.333  0.667  0.686
Se  0.333  0.667  0.759
Se  0.667  0.333  0.498
Se  0.667  0.333  0.571
S  0.667  0.333  0.869
S  0.667  0.333  0.936

Principal peaks in the range 5 to 70 degrees two-theta, by angle:
| two_theta | d [Å] | I (rel.) |
| --- | --- | --- |
| 5.73 | 15.423 | 42 |
| 9.56 | 9.254 | 100 |
| 11.47 | 7.711 | 18 |
| 31.42 | 2.847 | 13 |
| 32.90 | 2.722 | 10 |
| 33.54 | 2.672 | 6 |
| 35.12 | 2.555 | 20 |
| 38.16 | 2.358 | 8 |
| 40.57 | 2.224 | 26 |
| 41.87 | 2.158 | 6 |
| 55.92 | 1.644 | 11 |
| 56.87 | 1.619 | 7 |

=====

[6]
# MgMoW2Se4S2
Theoretical X-ray diffraction stick pattern, Cu Kα, 1.54184 Å. Input: a structure optimized by DFT (PBE).
No peak broadening, texture or thermal motion is included.

Atomic structure:
Unit cell a=3.279 b=3.279 c=37.175 alpha=91.74 beta=91.74 gamma=59.98
Fractional coordinates of all 10 atoms:
Mg  0.000  0.000  0.000
Mo  0.664  0.664  0.877
W  0.665  0.665  0.346
W  0.986  0.986  0.125
Se  0.008  0.008  0.923
Se  0.009  0.009  0.391
Se  0.987  0.987  0.832
Se  0.988  0.988  0.300
S  0.643  0.643  0.084
S  0.663  0.663  0.167

Principal peaks in the range 5 to 70 degrees two-theta, by angle:
| two_theta | d [Å] | I (rel.) |
| --- | --- | --- |
| 9.52 | 9.288 | 100 |
| 11.91 | 7.431 | 24 |
| 31.52 | 2.839 | 15 |
| 31.67 | 2.826 | 4 |
| 32.82 | 2.728 | 5 |
| 35.00 | 2.564 | 6 |
| 35.30 | 2.543 | 4 |
| 36.14 | 2.485 | 5 |
| 40.32 | 2.237 | 5 |
| 41.18 | 2.192 | 7 |
| 41.93 | 2.155 | 7 |
| 56.13 | 1.639 | 12 |

=====

[7]
# MgMoW3Se6S2
Theoretical X-ray diffraction stick pattern, Cu Kα, 1.54184 Å. Input: a structure optimized by DFT (PBE).
No peak broadening, texture or thermal motion is included.

Atomic structure:
Unit cell a=3.283 b=3.283 c=46.117 alpha=90.00 beta=90.00 gamma=120.00
Fractional coordinates of all 13 atoms:
Mg  0.000  0.000  0.000
Mo  0.667  0.333  0.098
W  0.333  0.667  0.279
W  0.333  0.667  0.895
W  0.667  0.333  0.467
Se  0.333  0.667  0.061
Se  0.333  0.667  0.135
Se  0.333  0.667  0.430
Se  0.333  0.667  0.504
Se  0.667  0.333  0.858
Se  0.667  0.333  0.932
S  0.667  0.333  0.245
S  0.667  0.333  0.312

Principal peaks in the range 5 to 70 degrees two-theta, by angle:
| two_theta | d [Å] | I (rel.) |
| --- | --- | --- |
| 5.75 | 15.372 | 40 |
| 9.59 | 9.223 | 100 |
| 11.51 | 7.686 | 17 |
| 31.47 | 2.843 | 13 |
| 32.96 | 2.717 | 11 |
| 35.19 | 2.550 | 20 |
| 38.25 | 2.353 | 7 |
| 40.67 | 2.219 | 27 |
| 41.97 | 2.152 | 5 |
| 47.79 | 1.903 | 7 |
| 56.02 | 1.642 | 10 |
| 56.98 | 1.616 | 7 |

=====

[8]
# MgMoW2Se4S2
Theoretical X-ray diffraction stick pattern, Cu Kα, 1.54184 Å. Input: a structure optimized by DFT (PBE).
No peak broadening, texture or thermal motion is included.

Atomic structure:
Unit cell a=3.285 b=3.285 c=37.314 alpha=90.00 beta=90.00 gamma=120.00
Fractional coordinates of all 10 atoms:
Mg  0.000  0.000  0.000
Mo  0.667  0.333  0.113
W  0.333  0.667  0.337
W  0.333  0.667  0.866
Se  0.667  0.333  0.292
Se  0.667  0.333  0.383
Se  0.667  0.333  0.820
Se  0.667  0.333  0.911
S  0.333  0.667  0.071
S  0.333  0.667  0.153

Principal peaks in the range 5 to 70 degrees two-theta, by angle:
| two_theta | d [Å] | I (rel.) |
| --- | --- | --- |
| 9.48 | 9.329 | 100 |
| 11.86 | 7.463 | 13 |
| 31.46 | 2.844 | 10 |
| 32.92 | 2.721 | 12 |
| 34.68 | 2.587 | 13 |
| 35.78 | 2.510 | 9 |
| 39.85 | 2.262 | 13 |
| 41.42 | 2.180 | 19 |
| 44.86 | 2.021 | 8 |
| 48.62 | 1.873 | 8 |
| 56.00 | 1.642 | 10 |
| 56.94 | 1.617 | 9 |

=====

[9]
# MgMoW2Se4S2
Theoretical X-ray diffraction stick pattern, Cu Kα, 1.54184 Å. Input: a structure optimized by DFT (PBE).
No peak broadening, texture or thermal motion is included.

Atomic structure:
Unit cell a=3.277 b=3.277 c=37.893 alpha=90.00 beta=90.00 gamma=120.00
Fractional coordinates of all 10 atoms:
Mg  0.000  0.000  0.000
Mo  0.333  0.667  0.658
W  0.333  0.667  0.130
W  0.667  0.333  0.881
Se  0.667  0.333  0.084
Se  0.667  0.333  0.174
Se  0.667  0.333  0.614
Se  0.667  0.333  0.703
S  0.333  0.667  0.840
S  0.333  0.667  0.921

Principal peaks in the range 5 to 70 degrees two-theta, by angle:
| two_theta | d [Å] | I (rel.) |
| --- | --- | --- |
| 7.00 | 12.631 | 10 |
| 9.34 | 9.473 | 100 |
| 11.68 | 7.579 | 17 |
| 31.55 | 2.836 | 13 |
| 32.95 | 2.718 | 10 |
| 34.65 | 2.588 | 12 |
| 35.72 | 2.513 | 10 |
| 39.68 | 2.271 | 14 |
| 41.22 | 2.190 | 18 |
| 44.56 | 2.033 | 7 |
| 48.23 | 1.887 | 7 |
| 56.15 | 1.638 | 10 |

=====

[10]
# MgMoW2Se4S2
Theoretical X-ray diffraction stick pattern, Cu Kα, 1.54184 Å. Input: a structure optimized by DFT (PBE).
No peak broadening, texture or thermal motion is included.

Atomic structure:
Unit cell a=3.271 b=3.271 c=30.220 alpha=90.00 beta=90.00 gamma=60.00
Fractional coordinates of all 10 atoms:
Mg  0.000  0.000  0.000
Mo  0.061  0.985  0.494
W  0.395  0.319  0.263
W  0.395  0.319  0.726
Se  0.061  0.985  0.669
Se  0.061  0.985  0.782
Se  0.395  0.319  0.438
Se  0.395  0.319  0.550
S  0.061  0.985  0.212
S  0.061  0.985  0.314

Principal peaks in the range 5 to 70 degrees two-theta, by angle:
| two_theta | d [Å] | I (rel.) |
| --- | --- | --- |
| 5.85 | 15.110 | 100 |
| 11.71 | 7.555 | 83 |
| 14.66 | 6.044 | 10 |
| 31.58 | 2.833 | 19 |
| 32.15 | 2.785 | 8 |
| 33.79 | 2.653 | 14 |
| 36.39 | 2.469 | 30 |
| 37.99 | 2.369 | 30 |
| 43.80 | 2.067 | 14 |
| 46.02 | 1.972 | 25 |
| 56.26 | 1.635 | 16 |
| 57.66 | 1.599 | 8 |

=====

[11]
# MgMoW2Se4S2
Theoretical X-ray diffraction stick pattern, Cu Kα, 1.54184 Å. Input: a structure optimized by DFT (PBE).
No peak broadening, texture or thermal motion is included.

Atomic structure:
Unit cell a=3.270 b=3.270 c=30.238 alpha=90.00 beta=90.00 gamma=60.00
Fractional coordinates of all 10 atoms:
Mg  0.000  0.000  0.000
Mo  0.304  0.429  0.265
W  0.304  0.429  0.727
W  0.971  0.096  0.496
Se  0.971  0.096  0.209
Se  0.971  0.096  0.321
Se  0.971  0.096  0.671
Se  0.971  0.096  0.784
S  0.304  0.429  0.445
S  0.304  0.429  0.547

Principal peaks in the range 5 to 70 degrees two-theta, by angle:
| two_theta | d [Å] | I (rel.) |
| --- | --- | --- |
| 5.85 | 15.119 | 94 |
| 11.71 | 7.559 | 100 |
| 14.65 | 6.048 | 17 |
| 31.59 | 2.832 | 23 |
| 32.16 | 2.784 | 8 |
| 33.80 | 2.652 | 12 |
| 36.39 | 2.469 | 35 |
| 37.99 | 2.368 | 34 |
| 43.80 | 2.067 | 16 |
| 46.01 | 1.972 | 28 |
| 56.28 | 1.635 | 19 |
| 57.68 | 1.598 | 10 |

=====

[12]
# MgMoW2Se4S2
Theoretical X-ray diffraction stick pattern, Cu Kα, 1.54184 Å. Input: a structure optimized by DFT (PBE).
No peak broadening, texture or thermal motion is included.

Atomic structure:
Unit cell a=3.277 b=3.277 c=37.199 alpha=90.00 beta=90.00 gamma=120.00
Fractional coordinates of all 10 atoms:
Mg  0.000  0.000  0.000
Mo  0.667  0.333  0.123
W  0.333  0.667  0.349
W  0.333  0.667  0.877
Se  0.333  0.667  0.078
Se  0.333  0.667  0.169
Se  0.667  0.333  0.303
Se  0.667  0.333  0.394
S  0.667  0.333  0.836
S  0.667  0.333  0.918

Principal peaks in the range 5 to 70 degrees two-theta, by angle:
| two_theta | d [Å] | I (rel.) |
| --- | --- | --- |
| 9.51 | 9.300 | 100 |
| 11.90 | 7.440 | 14 |
| 14.29 | 6.200 | 7 |
| 31.55 | 2.836 | 14 |
| 33.00 | 2.714 | 14 |
| 34.77 | 2.580 | 14 |
| 35.87 | 2.503 | 12 |
| 39.96 | 2.256 | 15 |
| 41.54 | 2.174 | 21 |
| 48.77 | 1.867 | 9 |
| 56.15 | 1.638 | 11 |
| 57.10 | 1.613 | 9 |

=====

[13]
# SmMg2Mo3S8
Theoretical X-ray diffraction stick pattern, Cu Kα, 1.54184 Å. Input: a structure optimized by DFT (PBE).
No peak broadening, texture or thermal motion is included.

Atomic structure:
Unit cell a=7.538 b=7.538 c=7.538 alpha=60.44 beta=60.44 gamma=60.44
Fractional coordinates of all 14 atoms:
Sm  0.000  0.000  0.000
Mg  0.376  0.376  0.376
Mg  0.624  0.624  0.624
Mo  0.000  0.000  0.500
Mo  0.000  0.500  0.000
Mo  0.500  0.000  0.000
S  0.228  0.744  0.744
S  0.238  0.238  0.238
S  0.256  0.256  0.772
S  0.256  0.772  0.256
S  0.744  0.228  0.744
S  0.744  0.744  0.228
S  0.762  0.762  0.762
S  0.772  0.256  0.256

Principal peaks in the range 5 to 70 degrees two-theta, by angle:
| two_theta | d [Å] | I (rel.) |
| --- | --- | --- |
| 14.31 | 6.189 | 91 |
| 14.44 | 6.135 | 19 |
| 27.64 | 3.228 | 75 |
| 27.78 | 3.211 | 30 |
| 28.85 | 3.094 | 11 |
| 33.51 | 2.674 | 100 |
| 36.51 | 2.461 | 14 |
| 43.94 | 2.061 | 38 |
| 47.96 | 1.897 | 47 |
| 48.30 | 1.884 | 41 |
| 59.77 | 1.547 | 17 |
| 67.04 | 1.396 | 14 |